(1)
Calculated powder diffractogram of Cs4AgP2Au for Cu Kα (weighted mean of Kα1 and Kα2), from a crystal structure in OQMD, relaxed with GGA-PBE.
Kinematic intensities with the Lorentz-polarization factor, no thermal factor.

Largest 8 diffraction maxima, most intense first, 2θ from 5° to 70°:
| 2θ/deg | d [Å] | I_rel |
| --- | --- | --- |
| 26.77 | 3.330 | 100.0 |
| 29.99 | 2.980 | 79.6 |
| 30.18 | 2.961 | 68.2 |
| 26.31 | 3.387 | 66.0 |
| 35.24 | 2.546 | 59.0 |
| 50.79 | 1.798 | 51.5 |
| 31.31 | 2.857 | 43.5 |
| 49.24 | 1.851 | 34.7 |

```
data_Cs4AgP2Au
_cell_length_a 7.857
_cell_length_b 11.027
_cell_length_c 6.680
_cell_angle_alpha 90.00
_cell_angle_beta 90.08
_cell_angle_gamma 90.00
_space_group_name_H-M_alt 'P 1'
_space_group_IT_number 1
loop_
_space_group_symop_operation_xyz
'x,y,z'
loop_
_atom_site_label
_atom_site_fract_x
_atom_site_fract_y
_atom_site_fract_z
Cs1 0.147 0.171 0.248
Cs2 0.147 0.829 0.248
Cs3 0.353 0.329 0.752
Cs4 0.353 0.671 0.752
Cs5 0.647 0.329 0.248
Cs6 0.647 0.671 0.248
Cs7 0.853 0.171 0.752
Cs8 0.853 0.829 0.752
Ag1 0.000 0.500 0.500
Ag2 0.500 0.000 0.500
P1 0.227 0.500 0.247
P2 0.273 0.000 0.753
P3 0.727 0.000 0.247
P4 0.773 0.500 0.753
Au1 0.000 0.500 0.000
Au2 0.500 0.000 0.000
```

(2)
Calculated powder diffractogram of Nd2Tc2O7 for Cu Kα (weighted mean of Kα1 and Kα2), from a crystal structure in OQMD, relaxed with GGA-PBE.
Kinematic intensities with the Lorentz-polarization factor, no thermal factor.

Largest 8 diffraction maxima, most intense first, 2θ from 5° to 70°:
| 2θ/deg | d [Å] | I_rel |
| --- | --- | --- |
| 24.64 | 3.613 | 100.0 |
| 23.90 | 3.723 | 96.0 |
| 32.24 | 2.777 | 81.3 |
| 31.57 | 2.834 | 72.6 |
| 34.59 | 2.593 | 51.5 |
| 48.90 | 1.862 | 47.3 |
| 47.60 | 1.911 | 32.1 |
| 47.11 | 1.929 | 30.6 |

```
data_Nd2Tc2O7
_cell_length_a 6.108
_cell_length_b 6.108
_cell_length_c 6.673
_cell_angle_alpha 121.85
_cell_angle_beta 121.85
_cell_angle_gamma 75.12
_space_group_name_H-M_alt 'P 1'
_space_group_IT_number 1
loop_
_space_group_symop_operation_xyz
'x,y,z'
loop_
_atom_site_label
_atom_site_fract_x
_atom_site_fract_y
_atom_site_fract_z
Nd1 0.000 0.000 0.000
Nd2 0.520 0.520 0.788
Tc1 0.001 0.001 0.526
Tc2 0.490 0.490 0.253
O1 0.235 0.853 0.733
O2 0.320 0.693 0.092
O3 0.323 0.323 0.308
O4 0.684 0.684 0.622
O5 0.693 0.320 0.092
O6 0.843 0.843 0.157
O7 0.853 0.235 0.733
```

(3)
Calculated powder diffractogram of TbAlB4 for Cu Kα (weighted mean of Kα1 and Kα2), from a crystal structure in OQMD, relaxed with GGA-PBE.
Kinematic intensities with the Lorentz-polarization factor, no thermal factor.

Largest 8 diffraction maxima, most intense first, 2θ from 5° to 70°:
| 2θ/deg | d [Å] | I_rel |
| --- | --- | --- |
| 12.20 | 7.253 | 100.0 |
| 41.72 | 2.165 | 83.7 |
| 35.49 | 2.529 | 59.6 |
| 33.20 | 2.699 | 56.4 |
| 24.55 | 3.627 | 32.7 |
| 61.62 | 1.505 | 20.7 |
| 50.69 | 1.801 | 18.5 |
| 59.31 | 1.558 | 16.8 |

```
data_TbAlB4
_cell_length_a 3.116
_cell_length_b 3.116
_cell_length_c 7.253
_cell_angle_alpha 90.00
_cell_angle_beta 90.00
_cell_angle_gamma 120.00
_space_group_name_H-M_alt 'P 1'
_space_group_IT_number 1
loop_
_space_group_symop_operation_xyz
'x,y,z'
loop_
_atom_site_label
_atom_site_fract_x
_atom_site_fract_y
_atom_site_fract_z
Tb1 0.000 0.000 0.000
Al1 0.000 0.000 0.500
B1 0.333 0.667 0.282
B2 0.333 0.667 0.718
B3 0.667 0.333 0.282
B4 0.667 0.333 0.718
```

(4)
Calculated powder diffractogram of CoBr7 for Cu Kα (weighted mean of Kα1 and Kα2), from a crystal structure in OQMD, relaxed with GGA-PBE.
Kinematic intensities with the Lorentz-polarization factor, no thermal factor.

Largest 8 diffraction maxima, most intense first, 2θ from 5° to 70°:
| 2θ/deg | d [Å] | I_rel |
| --- | --- | --- |
| 27.19 | 3.280 | 100.0 |
| 25.70 | 3.466 | 31.2 |
| 15.42 | 5.748 | 26.8 |
| 22.85 | 3.892 | 21.8 |
| 29.17 | 3.061 | 21.2 |
| 24.92 | 3.573 | 19.6 |
| 44.18 | 2.050 | 16.6 |
| 36.15 | 2.484 | 16.0 |

```
data_CoBr7
_cell_length_a 10.282
_cell_length_b 8.558
_cell_length_c 8.558
_cell_angle_alpha 125.90
_cell_angle_beta 90.00
_cell_angle_gamma 90.00
_space_group_name_H-M_alt 'P 1'
_space_group_IT_number 1
loop_
_space_group_symop_operation_xyz
'x,y,z'
loop_
_atom_site_label
_atom_site_fract_x
_atom_site_fract_y
_atom_site_fract_z
Co1 0.000 0.000 0.000
Co2 0.500 0.500 0.500
Br1 0.000 0.704 0.704
Br2 0.123 0.553 0.082
Br3 0.145 0.072 0.227
Br4 0.196 0.943 0.662
Br5 0.304 0.443 0.162
Br6 0.355 0.572 0.727
Br7 0.377 0.053 0.582
Br8 0.500 0.204 0.204
Br9 0.623 0.582 0.053
Br10 0.645 0.727 0.572
Br11 0.696 0.162 0.443
Br12 0.804 0.662 0.943
Br13 0.855 0.227 0.072
Br14 0.877 0.082 0.553
```

Repeat the second record exactly.
Calculated powder diffractogram of Nd2Tc2O7 for Cu Kα (weighted mean of Kα1 and Kα2), from a crystal structure in OQMD, relaxed with GGA-PBE.
Kinematic intensities with the Lorentz-polarization factor, no thermal factor.

Largest 8 diffraction maxima, most intense first, 2θ from 5° to 70°:
| 2θ/deg | d [Å] | I_rel |
| --- | --- | --- |
| 24.64 | 3.613 | 100.0 |
| 23.90 | 3.723 | 96.0 |
| 32.24 | 2.777 | 81.3 |
| 31.57 | 2.834 | 72.6 |
| 34.59 | 2.593 | 51.5 |
| 48.90 | 1.862 | 47.3 |
| 47.60 | 1.911 | 32.1 |
| 47.11 | 1.929 | 30.6 |

```
data_Nd2Tc2O7
_cell_length_a 6.108
_cell_length_b 6.108
_cell_length_c 6.673
_cell_angle_alpha 121.85
_cell_angle_beta 121.85
_cell_angle_gamma 75.12
_space_group_name_H-M_alt 'P 1'
_space_group_IT_number 1
loop_
_space_group_symop_operation_xyz
'x,y,z'
loop_
_atom_site_label
_atom_site_fract_x
_atom_site_fract_y
_atom_site_fract_z
Nd1 0.000 0.000 0.000
Nd2 0.520 0.520 0.788
Tc1 0.001 0.001 0.526
Tc2 0.490 0.490 0.253
O1 0.235 0.853 0.733
O2 0.320 0.693 0.092
O3 0.323 0.323 0.308
O4 0.684 0.684 0.622
O5 0.693 0.320 0.092
O6 0.843 0.843 0.157
O7 0.853 0.235 0.733
```